[1]
Structure and simulated PXRD pattern of YMg6Zr (DFT lattice parameters and positions (GGA-PBE); copper Kα).

The 6 most intense peaks (5° ≤ 2θ ≤ 70°), most intense first:
- 36.04 deg, I = 100, hkl 1 2 2
- 15.60 deg, I = 49, hkl 0 1 1
- 23.22 deg, I = 27, hkl 1 0 2
- 34.61 deg, I = 25, hkl 2 0 0
- 31.48 deg, I = 24, hkl 0 0 4
- 62.95 deg, I = 19, hkl 3 2 2

Crystal structure
Unit cell a=5.184 b=6.552 c=11.387 alpha=90.00 beta=90.00 gamma=90.00
Space group Amm2 (No. 38)
Asymmetric unit:
Y 0.000 0.000 0.000 [2 per cell]
Mg 0.000 0.000 0.503 [2 per cell]
Mg 0.000 0.243 0.753 [4 per cell]
Mg 0.500 0.000 0.334 [2 per cell]
Mg 0.500 0.248 0.586 [4 per cell]
Zr 0.500 0.000 0.833 [2 per cell]


[2]
Structure and simulated PXRD pattern of Mg2Zn (DFT lattice parameters and positions (GGA-PBE); copper Kα).

The 6 most intense peaks (5° ≤ 2θ ≤ 70°), most intense first:
- 38.37 deg, I = 100, hkl 1 3 1
- 11.39 deg, I = 91, hkl 0 2 0
- 39.26 deg, I = 49, hkl 0 6 1
- 36.26 deg, I = 41, hkl 0 0 2
- 34.59 deg, I = 32, hkl 0 6 0
- 33.65 deg, I = 27, hkl 1 3 0

Crystal structure
Unit cell a=3.106 b=15.533 c=4.955 alpha=90.00 beta=90.00 gamma=90.00
Space group Cmcm (No. 63)
Asymmetric unit:
Mg 0.000 0.060 0.250 [4 per cell]
Mg 0.000 0.378 0.250 [4 per cell]
Zn 0.000 0.278 0.750 [4 per cell]


[3]
Structure and simulated PXRD pattern of Mg2Zn (DFT lattice parameters and positions (GGA-PBE); copper Kα).

The 6 most intense peaks (5° ≤ 2θ ≤ 70°), most intense first:
- 38.93 deg, I = 100, hkl 1 1 3
- 34.83 deg, I = 33, hkl 1 1 0
- 34.06 deg, I = 31, hkl 0 0 6
- 16.84 deg, I = 23, hkl 0 0 3
- 49.51 deg, I = 22, hkl 1 1 6
- 64.22 deg, I = 21, hkl 1 1 9

Crystal structure
Unit cell a=5.1516 b=5.1516 c=15.7937 alpha=90.00 beta=90.00 gamma=120.00
Space group R32 (No. 155, hexagonal axes)
Asymmetric unit:
Mg 0.0000 0.0000 0.0000 [3 per cell]
Mg 0.0000 0.6702 0.5000 [9 per cell]
Zn 0.0000 0.0000 0.3349 [6 per cell]


[4]
Structure and simulated PXRD pattern of Mg2Zn (DFT lattice parameters and positions (GGA-PBE); copper Kα).

The 6 most intense peaks (5° ≤ 2θ ≤ 70°), most intense first:
- 38.45 deg, I = 100, hkl 1 0 3
- 12.19 deg, I = 59, hkl 0 0 2
- 33.51 deg, I = 25, hkl 1 0 0
- 37.13 deg, I = 24, hkl 0 0 6
- 34.09 deg, I = 18, hkl 1 0 1
- 59.90 deg, I = 17, hkl 1 1 0

Crystal structure
Unit cell a=3.0882 b=3.0882 c=14.5266 alpha=90.00 beta=90.00 gamma=120.00
Space group P6_3/mmc (No. 194)
Asymmetric unit:
Mg 0.3333 0.6667 0.0918 [4 per cell]
Zn 0.3333 0.6667 0.7500 [2 per cell]


[5]
Structure and simulated PXRD pattern of Mg2Zn (DFT lattice parameters and positions (GGA-PBE); copper Kα).

The 6 most intense peaks (5° ≤ 2θ ≤ 70°), most intense first:
- 38.01 deg, I = 100, hkl 3 1 0
- 39.19 deg, I = 94, hkl 1 1 -2
- 16.07 deg, I = 84, hkl 2 0 0
- 36.62 deg, I = 68, hkl 4 0 -2
- 38.42 deg, I = 34, hkl 4 0 1
- 34.92 deg, I = 32, hkl 2 0 2

Crystal structure
Unit cell a=11.412 b=3.094 c=6.875 alpha=90.00 beta=104.87 gamma=90.00
Space group C2/m (No. 12)
Asymmetric unit:
Mg 0.135 0.000 0.037 [4 per cell]
Mg 0.174 0.000 0.620 [4 per cell]
Zn 0.026 0.500 0.300 [4 per cell]


[6]
Structure and simulated PXRD pattern of Mg2Zn (DFT lattice parameters and positions (GGA-PBE); copper Kα).

The 6 most intense peaks (5° ≤ 2θ ≤ 70°), most intense first:
- 38.01 deg, I = 100, hkl 3 1 -2
- 39.34 deg, I = 91, hkl 3 1 0
- 39.61 deg, I = 89, hkl 0 2 1
- 35.78 deg, I = 79, hkl 0 0 2
- 20.89 deg, I = 66, hkl 1 1 0
- 34.13 deg, I = 45, hkl 3 1 -1

Crystal structure
Unit cell a=9.202 b=5.106 c=6.009 alpha=90.00 beta=123.35 gamma=90.00
Space group C2/c (No. 15)
Asymmetric unit:
Mg 0.169 0.085 0.251 [8 per cell]
Zn 0.000 0.418 0.750 [4 per cell]


[7]
Structure and simulated PXRD pattern of Mg2Zn (DFT lattice parameters and positions (GGA-PBE); copper Kα).

The 6 most intense peaks (5° ≤ 2θ ≤ 70°), most intense first:
- 38.78 deg, I = 100, hkl 1 1 1
- 34.17 deg, I = 32, hkl 1 1 0
- 36.04 deg, I = 26, hkl 0 0 2
- 50.51 deg, I = 20, hkl 1 1 2
- 17.80 deg, I = 20, hkl 0 0 1
- 66.62 deg, I = 19, hkl 1 1 3

Crystal structure
Unit cell a=5.2479 b=5.2479 c=4.9843 alpha=90.00 beta=90.00 gamma=120.00
Space group P-62m (No. 189)
Asymmetric unit:
Mg 0.0000 0.0000 0.0000 [1 per cell]
Mg 0.0000 0.6578 0.5000 [3 per cell]
Zn 0.3333 0.6667 0.0000 [2 per cell]


[8]
Structure and simulated PXRD pattern of Mg2Zn (DFT lattice parameters and positions (GGA-PBE); copper Kα).

The 6 most intense peaks (5° ≤ 2θ ≤ 70°), most intense first:
- 38.47 deg, I = 100, hkl 1 1 3
- 38.80 deg, I = 51, hkl 1 0 6
- 37.03 deg, I = 36, hkl 2 0 0
- 33.56 deg, I = 33, hkl 0 1 3
- 18.27 deg, I = 28, hkl 1 0 0
- 11.16 deg, I = 24, hkl 0 0 2

Crystal structure
Unit cell a=4.856 b=3.095 c=15.853 alpha=90.00 beta=90.00 gamma=90.00
Space group Amm2 (No. 38)
Asymmetric unit:
Mg 0.000 0.000 0.000 [2 per cell]
Mg 0.000 0.000 0.328 [2 per cell]
Mg 0.000 0.000 0.664 [2 per cell]
Mg 0.500 0.000 0.886 [2 per cell]
Zn 0.500 0.000 0.218 [2 per cell]
Zn 0.500 0.000 0.555 [2 per cell]


[9]
Structure and simulated PXRD pattern of Mg2Zn (DFT lattice parameters and positions (GGA-PBE); copper Kα).

The 6 most intense peaks (5° ≤ 2θ ≤ 70°), most intense first:
- 38.35 deg, I = 100, hkl 1 1 -2
- 36.22 deg, I = 39, hkl 4 0 -2
- 12.85 deg, I = 30, hkl 0 0 1
- 16.56 deg, I = 25, hkl 2 0 0
- 33.64 deg, I = 25, hkl 1 1 1
- 39.42 deg, I = 24, hkl 4 0 1

Crystal structure
Unit cell a=11.162 b=3.110 c=7.180 alpha=90.00 beta=106.43 gamma=90.00
Space group C2/m (No. 12)
Asymmetric unit:
Mg 0.030 0.000 0.316 [4 per cell]
Mg 0.143 0.500 0.036 [4 per cell]
Zn 0.197 0.500 0.638 [4 per cell]


[10]
Structure and simulated PXRD pattern of Mg2Zn (DFT lattice parameters and positions (GGA-PBE); copper Kα).

The 6 most intense peaks (5° ≤ 2θ ≤ 70°), most intense first:
- 38.43 deg, I = 100, hkl 1 3 1
- 39.51 deg, I = 46, hkl 0 6 1
- 21.48 deg, I = 41, hkl 0 2 1
- 36.72 deg, I = 38, hkl 0 0 2
- 33.59 deg, I = 24, hkl 1 3 0
- 67.26 deg, I = 18, hkl 1 3 3

Crystal structure
Unit cell a=3.117 b=15.468 c=4.895 alpha=90.00 beta=90.00 gamma=90.00
Space group Cmcm (No. 63)
Asymmetric unit:
Mg 0.000 0.055 0.250 [4 per cell]
Mg 0.000 0.275 0.750 [4 per cell]
Zn 0.000 0.388 0.250 [4 per cell]